Structure and computed powder diffractogram of LiMn4O8 (a cell relaxed with PBE+U; Cu Kα).
Kinematic intensities with the Lorentz-polarization factor, no thermal factor.

Atomic structure:
a = 5.7870 Å, b = 5.7870 Å, c = 12.1191 Å
α = 90.00°, β = 90.00°, γ = 90.00°
Space group I-4m2 (No. 119)
One atom of each set of equivalent atoms:
Li1 0.0000 0.0000 0.0000 [2 per cell]
Mn1 0.0000 0.2407 0.8300 [8 per cell]
O1 0.0000 0.2044 0.1311 [8 per cell]
O2 0.0000 0.2775 0.6715 [8 per cell]

Top 10 peaks for 15 to 90 degrees two-theta, in order of falling intensity:
d [Å], I (rel.), index
5.222, 100, 1 0 1
3.312, 26, 1 0 3
2.046, 22, 2 2 0
2.531, 18, 2 1 1
1.438, 14, 2 2 6
3.030, 12, 0 0 4
2.020, 9, 0 0 6
2.179, 9, 2 1 3
1.938, 9, 2 2 2
2.093, 8, 2 0 4

Structure and computed powder diffractogram of BaDyCo4O7 (a cell relaxed with PBE+U; Cu Kα).
Kinematic intensities with the Lorentz-polarization factor, no thermal factor.

Atomic structure:
a = 6.3937 Å, b = 6.3937 Å, c = 10.4234 Å
α = 90.00°, β = 90.00°, γ = 120.00°
Space group P6_3mc (No. 186)
One atom of each set of equivalent atoms:
Ba1 0.3333 0.6667 0.0000 [2 per cell]
Dy1 0.3333 0.6667 0.3969 [2 per cell]
Co1 0.0000 0.0000 0.4623 [2 per cell]
Co2 0.1694 0.3387 0.7072 [6 per cell]
O1 0.0000 0.0000 0.2643 [2 per cell]
O2 0.0173 0.5086 0.7798 [6 per cell]
O3 0.1673 0.3346 0.5231 [6 per cell]

Top 10 peaks for 15 to 90 degrees two-theta, in order of falling intensity:
d [Å], I (rel.), index
2.725, 100, 1 1 2
2.943, 66, 1 0 3
2.676, 56, 2 0 1
3.197, 49, 1 1 0
1.665, 36, 2 0 5
1.598, 33, 2 2 0
1.793, 29, 2 1 3
1.740, 28, 3 0 2
1.177, 17, 4 1 2
3.795, 14, 1 0 2